(1)
The following is a simulated X-ray powder pattern of Ca3Pm3HoTe8. It was derived from the PBE geometry in Alexandria, using Cu Kα.
No peak broadening, texture or thermal motion is included.

Atomic structure:
a b c (Å): 8.999 8.999 8.999
angles (deg): 59.11 59.11 59.11
Element x y z (fractional)
Ca1 0.000 0.500 0.500
Ca2 0.500 0.000 0.500
Ca3 0.500 0.500 0.000
Pm1 0.000 0.000 0.500
Pm2 0.000 0.500 0.000
Pm3 0.500 0.000 0.000
Ho1 0.500 0.500 0.500
Te1 0.251 0.251 0.251
Te2 0.253 0.253 0.747
Te3 0.253 0.747 0.253
Te4 0.253 0.747 0.747
Te5 0.747 0.253 0.253
Te6 0.747 0.253 0.747
Te7 0.747 0.747 0.253
Te8 0.749 0.749 0.749

Principal peaks in the range 15° ≤ 2θ ≤ 90°, low angle first:
2θ = 23.49°, intensity 12; 2θ = 28.24°, intensity 100; 2θ = 40.09°, intensity 39; 2θ = 40.65°, intensity 37; 2θ = 49.28°, intensity 7; 2θ = 50.24°, intensity 20; 2θ = 58.42°, intensity 13; 2θ = 65.73°, intensity 18; 2θ = 66.53°, intensity 17; 2θ = 73.60°, intensity 13

***

(2)
The following is a simulated X-ray powder pattern of RbMgRu2. It was derived from the PBE geometry in Alexandria, using Cu Kα.
No peak broadening, texture or thermal motion is included.

Atomic structure:
a b c (Å): 4.679 4.679 19.421
angles (deg): 90.00 90.00 90.00
Element x y z (fractional)
Rb1 0.000 0.000 0.000
Rb2 0.000 0.500 0.250
Rb3 0.500 0.000 0.750
Rb4 0.500 0.500 0.500
Mg1 0.000 0.000 0.500
Mg2 0.000 0.500 0.750
Mg3 0.500 0.000 0.250
Mg4 0.500 0.500 0.000
Ru1 0.051 0.250 0.625
Ru2 0.250 0.551 0.875
Ru3 0.250 0.949 0.375
Ru4 0.449 0.250 0.125
Ru5 0.551 0.750 0.125
Ru6 0.750 0.051 0.375
Ru7 0.750 0.449 0.875
Ru8 0.949 0.750 0.625

Principal peaks in the range 15° ≤ 2θ ≤ 90°, low angle first:
2θ = 19.51°, intensity 25; 2θ = 23.46°, intensity 100; 2θ = 28.50°, intensity 52; 2θ = 29.90°, intensity 54; 2θ = 37.03°, intensity 38; 2θ = 39.62°, intensity 43; 2θ = 43.50°, intensity 45; 2θ = 47.98°, intensity 25; 2θ = 54.96°, intensity 22; 2θ = 58.98°, intensity 29

***

(3)
The following is a simulated X-ray powder pattern of La6ScHg5. It was derived from the PBE geometry in Alexandria, using Cu Kα.
No peak broadening, texture or thermal motion is included.

Atomic structure:
a b c (Å): 5.473 7.887 8.780
angles (deg): 90.00 108.14 90.00
Element x y z (fractional)
La1 0.000 0.235 0.000
La2 0.000 0.765 0.000
La3 0.330 0.254 0.659
La4 0.330 0.746 0.659
La5 0.670 0.254 0.341
La6 0.670 0.746 0.341
Sc1 0.500 0.500 0.000
Hg1 0.150 0.500 0.301
Hg2 0.165 0.000 0.333
Hg3 0.500 0.000 0.000
Hg4 0.835 0.000 0.667
Hg5 0.850 0.500 0.699

Principal peaks in the range 15° ≤ 2θ ≤ 90°, low angle first:
2θ = 32.26°, intensity 100; 2θ = 32.72°, intensity 20; 2θ = 46.03°, intensity 8; 2θ = 46.56°, intensity 14; 2θ = 57.27°, intensity 7; 2θ = 57.44°, intensity 13; 2θ = 57.62°, intensity 8; 2θ = 58.13°, intensity 15; 2θ = 67.55°, intensity 9; 2θ = 76.46°, intensity 7

***

(4)
The following is a simulated X-ray powder pattern of Fe4Se3Br. It was derived from the PBE geometry in Alexandria, using Cu Kα.
No peak broadening, texture or thermal motion is included.

Atomic structure:
a b c (Å): 5.241 5.241 11.929
angles (deg): 90.00 90.00 90.00
Element x y z (fractional)
Fe1 0.248 0.248 0.000
Fe2 0.248 0.752 0.000
Fe3 0.252 0.252 0.500
Fe4 0.252 0.748 0.500
Fe5 0.748 0.252 0.500
Fe6 0.748 0.748 0.500
Fe7 0.752 0.248 0.000
Fe8 0.752 0.752 0.000
Se1 0.000 0.000 0.884
Se2 0.000 0.500 0.115
Se3 0.000 0.500 0.615
Se4 0.500 0.000 0.115
Se5 0.500 0.000 0.615
Se6 0.500 0.500 0.384
Br1 0.000 0.000 0.384
Br2 0.500 0.500 0.884

Principal peaks in the range 15° ≤ 2θ ≤ 90°, low angle first:
2θ = 28.35°, intensity 100; 2θ = 37.49°, intensity 18; 2θ = 46.11°, intensity 75; 2θ = 49.17°, intensity 32; 2θ = 51.66°, intensity 13; 2θ = 52.21°, intensity 16; 2θ = 57.74°, intensity 26; 2θ = 58.25°, intensity 14; 2θ = 83.16°, intensity 11; 2θ = 89.95°, intensity 21

***

(5)
The following is a simulated X-ray powder pattern of TbPmTlRu. It was derived from the PBE geometry in Alexandria, using Cu Kα.
No peak broadening, texture or thermal motion is included.

Atomic structure:
a b c (Å): 3.425 3.425 8.531
angles (deg): 90.00 90.00 90.00
Element x y z (fractional)
Tb1 0.000 0.000 0.000
Pm1 0.000 0.000 0.401
Tl1 0.500 0.500 0.705
Ru1 0.500 0.500 0.194

Principal peaks in the range 15° ≤ 2θ ≤ 90°, low angle first:
2θ = 28.07°, intensity 18; 2θ = 31.46°, intensity 11; 2θ = 33.56°, intensity 100; 2θ = 37.12°, intensity 46; 2θ = 49.43°, intensity 13; 2θ = 53.51°, intensity 16; 2θ = 57.59°, intensity 11; 2θ = 60.64°, intensity 10; 2θ = 64.66°, intensity 30; 2θ = 85.12°, intensity 8

***

(6)
The following is a simulated X-ray powder pattern of Zr2Al3C4. It was derived from the PBE geometry in Alexandria, using Cu Kα.
No peak broadening, texture or thermal motion is included.

Atomic structure:
a b c (Å): 3.363 3.363 22.337
angles (deg): 90.00 90.00 120.00
Element x y z (fractional)
Zr1 0.333 0.667 0.059
Zr2 0.333 0.667 0.441
Zr3 0.667 0.333 0.559
Zr4 0.667 0.333 0.941
Al1 0.000 0.000 0.159
Al2 0.000 0.000 0.341
Al3 0.000 0.000 0.659
Al4 0.000 0.000 0.841
Al5 0.333 0.667 0.750
Al6 0.667 0.333 0.250
C1 0.000 0.000 0.000
C2 0.000 0.000 0.250
C3 0.000 0.000 0.500
C4 0.000 0.000 0.750
C5 0.333 0.667 0.629
C6 0.333 0.667 0.871
C7 0.667 0.333 0.129
C8 0.667 0.333 0.371

Principal peaks in the range 15° ≤ 2θ ≤ 90°, low angle first:
2θ = 31.75°, intensity 28; 2θ = 33.02°, intensity 100; 2θ = 36.84°, intensity 66; 2θ = 39.27°, intensity 36; 2θ = 40.38°, intensity 22; 2θ = 42.00°, intensity 30; 2θ = 54.57°, intensity 43; 2θ = 62.79°, intensity 18; 2θ = 65.29°, intensity 14; 2θ = 70.04°, intensity 25

***

(7)
The following is a simulated X-ray powder pattern of YHg5Pd6. It was derived from the PBE geometry in Alexandria, using Cu Kα.
No peak broadening, texture or thermal motion is included.

Atomic structure:
a b c (Å): 7.938 7.938 7.938
angles (deg): 148.01 121.90 67.88
Element x y z (fractional)
Y1 0.000 0.000 0.000
Hg1 0.166 0.666 0.500
Hg2 0.333 0.333 0.000
Hg3 0.500 0.000 0.500
Hg4 0.667 0.667 0.000
Hg5 0.834 0.334 0.500
Pd1 0.081 0.832 0.249
Pd2 0.253 0.500 0.753
Pd3 0.417 0.168 0.249
Pd4 0.583 0.832 0.751
Pd5 0.747 0.500 0.247
Pd6 0.919 0.168 0.751

Principal peaks in the range 15° ≤ 2θ ≤ 90°, low angle first:
2θ = 37.23°, intensity 100; 2θ = 41.12°, intensity 19; 2θ = 41.28°, intensity 19; 2θ = 47.16°, intensity 13; 2θ = 59.68°, intensity 13; 2θ = 64.32°, intensity 10; 2θ = 72.37°, intensity 14; 2θ = 72.59°, intensity 14; 2θ = 79.35°, intensity 11; 2θ = 81.02°, intensity 11

***

(8)
The following is a simulated X-ray powder pattern of Pr2YZn3. It was derived from the PBE geometry in Alexandria, using Cu Kα.
No peak broadening, texture or thermal motion is included.

Atomic structure:
a b c (Å): 5.182 5.182 6.374
angles (deg): 90.00 90.00 120.00
Element x y z (fractional)
Pr1 0.333 0.667 0.174
Pr2 0.667 0.333 0.826
Y1 0.000 0.000 0.500
Zn1 0.000 0.000 0.000
Zn2 0.333 0.667 0.663
Zn3 0.667 0.333 0.337

Principal peaks in the range 15° ≤ 2θ ≤ 90°, low angle first:
2θ = 24.26°, intensity 21; 2θ = 34.52°, intensity 100; 2θ = 34.62°, intensity 99; 2θ = 49.69°, intensity 35; 2θ = 61.78°, intensity 18; 2θ = 62.00°, intensity 53; 2θ = 72.79°, intensity 11; 2θ = 73.04°, intensity 11; 2θ = 83.18°, intensity 15; 2θ = 83.36°, intensity 15